For ZrCrCuS4, a DFT-relaxed cell (PBE, the Materials Project) gives the theoretical X-ray powder pattern in this record (Cu Kα (λ = 1.5418 Å)).

Peak list (12 most intense, 10° ≤ 2θ ≤ 90°, low angle first)
2θ (°)  I (rel.)
15.01  20.2
24.55  14.9
24.67  25.4
28.97  100.0
29.05  51.6
35.09  42.8
35.26  21.1
46.11  43.1
46.31  17.8
50.33  20.0
50.59  95.3
59.39  12.5

Structure:
Unit cell a=7.2170 b=7.2170 c=7.2170 alpha=120.02 beta=119.67 gamma=90.27
Fractional positions:
Zr (0.5000, 0.0000, 0.0000)
Zr (0.5000, 0.5000, 0.5000)
Cr (0.0000, 0.0000, 0.0000)
Cr (0.5000, 0.0000, 0.5000)
Cu (0.1277, 0.3777, 0.7500)
Cu (0.8723, 0.6223, 0.2500)
S (0.2391, 0.2394, 0.9997)
S (0.2478, 0.2270, 0.4792)
S (0.2478, 0.7687, 0.0208)
S (0.2602, 0.7606, 0.4997)
S (0.7398, 0.2394, 0.5003)
S (0.7522, 0.2313, 0.9792)
S (0.7522, 0.7730, 0.5208)
S (0.7609, 0.7606, 0.0003)